Calculated X-ray powder pattern of AcPrCoO4 for Cu Kα X-rays, from a crystal structure in Alexandria, relaxed with PBE+U.
Lines closer than 0.1° are merged.

Peak list (10 most intense, 5° ≤ 2θ ≤ 70°, in order of rising 2θ)
| 2theta | Rel. int. | hkl |
| --- | --- | --- |
| 24.2 | 46 | 1 0 1 |
| 27.0 | 21 | 0 0 4 |
| 30.9 | 100 | 1 0 3 |
| 33.1 | 66 | 1 1 0 |
| 41.5 | 22 | 1 0 5 |
| 43.2 | 37 | 1 1 4 |
| 47.5 | 31 | 2 0 0 |
| 54.2 | 16 | 1 0 7 |
| 55.5 | 13 | 2 0 4 |
| 57.8 | 36 | 2 1 3 |

Structure:
Unit cell a=3.829 b=3.829 c=13.215 alpha=90.00 beta=90.00 gamma=90.00
Space group I4mm (No. 107)
One atom of each set of equivalent atoms:
Ac 0.000 0.000 0.000 x2
Pr 0.000 0.000 0.726 x2
Co 0.000 0.000 0.353 x2
O 0.000 0.000 0.185 x2
O 0.000 0.000 0.545 x2
O 0.000 0.500 0.355 x4